This entry pairs a crystal structure of BaVPO6 with its theoretical X-ray powder pattern. Radiation: a wavelength of 1.5418 Å. Structure: a cell relaxed with GGA+U.
Intensities are scaled so that the largest is 100.

Most intense lines, 2θ from 15° to 90°, sorted by position:
- 2θ 17.51, I 30
- 2θ 20.17, I 69
- 2θ 23.24, I 33
- 2θ 25.21, I 100
- 2θ 25.50, I 93
- 2θ 27.07, I 81
- 2θ 30.57, I 39
- 2θ 31.92, I 55
- 2θ 32.18, I 36
- 2θ 33.45, I 32
- 2θ 35.41, I 36
- 2θ 40.17, I 38

Structure:
```
data_BaVPO6
_chemical_formula_sum 'Ba4 V4 P4 O24'
_cell_length_a 5.835
_cell_length_b 10.143
_cell_length_c 8.781
_cell_angle_alpha 90.00
_cell_angle_beta 90.85
_cell_angle_gamma 90.00
_space_group_name_H-M_alt 'P 1 21/c 1'
_space_group_IT_number 14
_space_group_name_Hall '-P 2ybc'
loop_
_atom_site_label
_atom_site_fract_x
_atom_site_fract_y
_atom_site_fract_z
Ba1 0.143 0.191 0.086
V1 0.350 0.588 0.084
P1 0.347 0.615 0.718
O1 0.102 0.630 0.161
O2 0.135 0.584 0.622
O3 0.279 0.666 0.882
O4 0.319 0.071 0.517
O5 0.485 0.019 0.232
O6 0.495 0.223 0.852
```